Diffraction record for Ba4Al5H. The XRD peak list is simulated, not measured: it uses the GGA-PBE geometry in Alexandria and Cu Kα.
Neutral-atom scattering factors, no anomalous dispersion.

Structural model:
Cell: 5.4793 9.5658 11.9449 Å, 90.00 90.00 90.00°
Space group Immm (No. 71)
Symmetry-distinct sites (fractional):
1 Ba 0.0000 0.0000 0.1697
2 Ba 0.0000 0.2299 0.5000
3 Al 0.0000 0.3603 0.1942
4 Al 0.0000 0.5000 0.0000
5 H 0.0000 0.5000 0.5000

Principal peaks in the range 10 to 90 degrees two-theta, by angle:
d_spacing, Position (°2θ), intensity, index
4.755, 18.66, 25.1, 1 1 0
3.732, 23.84, 51.4, 0 2 2
3.676, 24.21, 24.7, 0 1 3
3.450, 25.83, 100.0, 1 2 1
3.221, 27.70, 92.6, 1 0 3
2.740, 32.69, 37.2, 2 0 0
2.532, 35.45, 19.9, 0 2 4
2.502, 35.89, 30.0, 1 3 2
2.209, 40.86, 22.4, 2 2 2
1.991, 45.56, 34.8, 0 0 6